Simulated X-ray powder pattern of Cd5BiPd6 for Cu Kα (weighted mean of Kα1 and Kα2), from a cell relaxed with PBE.
Neutral-atom scattering factors, no anomalous dispersion.

Structure:
a b c (Å): 4.617 6.778 7.290
angles (deg): 90.00 107.37 90.00
Positions (direct):
Cd1 0.000 0.000 0.000
Cd2 0.329 0.500 0.656
Cd3 0.334 0.000 0.668
Cd4 0.666 0.000 0.332
Cd5 0.671 0.500 0.344
Bi1 0.000 0.500 0.000
Pd1 0.168 0.245 0.335
Pd2 0.168 0.755 0.335
Pd3 0.500 0.249 0.000
Pd4 0.500 0.751 0.000
Pd5 0.832 0.245 0.665
Pd6 0.832 0.755 0.665

Peak list (8 most intense, 10 to 80 degrees two-theta, by angle)
2θ/deg, I_rel, (hkl)
38.0, 100.0, 1 2 1
38.4, 97.0, 1 2 -2
38.8, 46.9, 0 0 3
39.0, 46.6, 2 0 -1
54.1, 17.6, 0 4 0
68.6, 16.8, 0 4 3
68.7, 16.9, 2 4 -1
69.8, 16.2, 3 2 0